# 1
Calculated X-ray powder pattern
Compound: CsTmSiS4
Radiation: Cu Ka
Structure: a cell relaxed with PBE
Peak positions follow from Bragg's law for the DFT cell and can differ from measured ones.

Cell: 6.370 6.702 17.956 Å, 90.00 90.00 90.00°
Space group P2_12_12_1 (No. 19)
One atom of each set of equivalent atoms:
Cs  0.015  0.006  0.468 (multiplicity 4)
Tm  0.210  0.023  0.729 (multiplicity 4)
Si  0.209  0.517  0.329 (multiplicity 4)
S  0.055  0.012  0.100 (multiplicity 4)
S  0.065  0.253  0.850 (multiplicity 4)
S  0.101  0.581  0.220 (multiplicity 4)
S  0.103  0.747  0.840 (multiplicity 4)

Most intense lines, 2θ = 10–90°, by angle:
Position (°2θ)  Rel. int.
19.2  510
19.8  1000
21.6  480
23.9  457
24.3  344
26.6  583
27.7  422
29.8  651
31.5  509
33.4  442
40.3  724
43.6  420



# 2
Calculated X-ray powder pattern
Compound: Al2AsN
Radiation: Cu Ka
Structure: a cell relaxed with PBE
Peak positions follow from Bragg's law for the DFT cell and can differ from measured ones.

Cell: 5.084 5.084 9.774 Å, 90.00 90.00 90.00°
Space group I-42d (No. 122)
One atom of each set of equivalent atoms:
Al  0.167  0.250  0.125 (multiplicity 8)
As  0.000  0.000  0.500 (multiplicity 4)
N  0.000  0.000  0.000 (multiplicity 4)

Most intense lines, 2θ = 10–90°, by angle:
Position (°2θ)  Rel. int.
19.7  257
30.9  1000
32.6  277
40.7  354
50.0  86
50.8  153
51.9  356
55.0  98
60.6  220
62.6  160
73.1  94
84.7  148



# 3
Calculated X-ray powder pattern
Compound: Ce4GaPt
Radiation: Cu Ka
Structure: a cell relaxed with PBE
Peak positions follow from Bragg's law for the DFT cell and can differ from measured ones.

Cell: 7.153 7.153 5.699 Å, 90.00 90.00 90.00°
Space group P4/mcc (No. 124)
One atom of each set of equivalent atoms:
Ce  0.138  0.352  0.000 (multiplicity 8)
Ga  0.500  0.500  0.250 (multiplicity 2)
Pt  0.000  0.000  0.250 (multiplicity 2)

Most intense lines, 2θ = 10–90°, by angle:
Position (°2θ)  Rel. int.
12.4  214
32.1  1000
35.5  90
36.2  464
39.9  514
40.5  225
48.6  93
56.3  201
61.2  253
64.2  193
73.2  140
79.5  137



# 4
Calculated X-ray powder pattern
Compound: CaZrSe
Radiation: Cu Ka
Structure: a cell relaxed with PBE
Peak positions follow from Bragg's law for the DFT cell and can differ from measured ones.

Cell: 4.145 4.155 16.327 Å, 90.00 90.00 90.00°
Space group Immm (No. 71)
One atom of each set of equivalent atoms:
Ca  0.000  0.000  0.176 (multiplicity 4)
Zr  0.000  0.500  0.000 (multiplicity 2)
Zr  0.000  0.500  0.500 (multiplicity 2)
Se  0.000  0.000  0.372 (multiplicity 4)

Most intense lines, 2θ = 10–90°, by angle:
Position (°2θ)  Rel. int.
10.8  623
22.1  157
32.4  662
32.9  213
35.0  249
37.8  1000
43.6  223
43.7  222
55.7  177
63.4  140
76.1  122
76.3  121



# 5
Calculated X-ray powder pattern
Compound: Ca2Bi4Rh3
Radiation: Cu Ka
Structure: a cell relaxed with PBE
Peak positions follow from Bragg's law for the DFT cell and can differ from measured ones.

Cell: 5.921 10.578 14.188 Å, 90.00 90.00 90.00°
Space group Fmmm (No. 69)
One atom of each set of equivalent atoms:
Ca  0.000  0.000  0.115 (multiplicity 8)
Bi  0.000  0.160  0.348 (multiplicity 16)
Rh  0.000  0.000  0.500 (multiplicity 4)
Rh  0.250  0.250  0.000 (multiplicity 8)

Most intense lines, 2θ = 10–90°, by angle:
Position (°2θ)  Rel. int.
16.8  230
18.3  491
25.5  181
30.2  586
35.2  1000
37.0  192
38.1  222
39.7  284
43.3  166
54.5  156
56.9  256
61.2  243



# 6
Calculated X-ray powder pattern
Compound: Tm2CrCu
Radiation: Cu Ka
Structure: a cell relaxed with PBE
Peak positions follow from Bragg's law for the DFT cell and can differ from measured ones.

Cell: 3.447 3.447 6.959 Å, 90.00 90.00 90.00°
Space group P4/mmm (No. 123)
One atom of each set of equivalent atoms:
Tm  0.000  0.000  0.245 (multiplicity 2)
Cr  0.500  0.500  0.500 (multiplicity 1)
Cu  0.500  0.500  0.000 (multiplicity 1)

Most intense lines, 2θ = 10–90°, by angle:
Position (°2θ)  Rel. int.
25.6  133
25.8  261
36.7  1000
36.9  495
45.4  121
52.6  87
53.1  170
66.0  173
66.3  343
78.0  106
89.1  78
89.9  78